Simulated PXRD pattern
Compound: ErFe3Ge2
Radiation: Cu Kα X-rays
Structure: a DFT-relaxed cell (PBE, Alexandria)
No peak broadening, texture or thermal motion is included.

Cell and atoms:
Unit cell a=14.804 b=3.847 c=7.202 alpha=90.00 beta=116.29 gamma=90.00
Space group C2/m (No. 12)
Symmetry-distinct sites (fractional):
Er 0.146 0.000 0.058
Fe 0.042 0.000 0.397
Fe 0.082 0.500 0.641
Fe 0.193 0.500 0.469
Ge 0.024 0.500 0.189
Ge 0.197 0.000 0.704

Main lines, sorted by position (10 to 80 degrees two-theta):
28.80°, intensity 30
29.85°, intensity 24
30.80°, intensity 53
34.57°, intensity 48
37.48°, intensity 100
38.46°, intensity 37
40.55°, intensity 80
46.11°, intensity 40
47.26°, intensity 64
50.36°, intensity 32